For ZnN, a cell relaxed with GGA-PBE gives the simulated PXRD pattern in this record (Cu Kα (weighted mean of Kα1 and Kα2)).
Lines closer than 0.1° are merged.

The 5 most intense peaks (10° ≤ 2θ ≤ 80°), in order of rising 2θ:
2θ = 33.8°, I = 100, hkl 1 1 1
2θ = 39.2°, I = 32, hkl 2 0 0
2θ = 56.7°, I = 41, hkl 2 2 0
2θ = 67.7°, I = 36, hkl 3 1 1
2θ = 71.1°, I = 7, hkl 2 2 2

Cell and atoms:
```
data_ZnN
_space_group_name_H-M_alt 'F -4 3 m'
_space_group_IT_number 216
_space_group_name_Hall 'F -4 2 3'
_cell_length_a 4.5926
_cell_length_b 4.5926
_cell_length_c 4.5926
_cell_angle_alpha 90.00
_cell_angle_beta 90.00
_cell_angle_gamma 90.00
loop_
_atom_site_label
_atom_site_fract_x
_atom_site_fract_y
_atom_site_fract_z
_atom_site_occupancy
Zn1 0.0000 0.0000 0.0000 1
N1 0.2500 0.2500 0.7500 1
```